# 1
Calculated powder diffractogram of Sr2Ir2O7 for Cu Kα, 1.54184 Å, from a cell relaxed with PBE.

Most intense lines, 5° ≤ 2θ ≤ 70°, in order of rising 2θ:
- 16.48°, I 49.7
- 20.89°, I 29.5
- 23.35°, I 100.0
- 24.55°, I 41.4
- 28.86°, I 27.8
- 31.58°, I 24.8
- 31.71°, I 42.8
- 34.48°, I 25.9
- 42.05°, I 22.3
- 46.16°, I 26.8

a = 6.3450 Å, b = 6.3450 Å, c = 5.4957 Å
α = 95.67°, β = 95.67°, γ = 115.74°
Fractional coordinates of all 11 atoms:
Sr 0.1915 0.8085 0.0000
Sr 0.8085 0.1915 0.0000
Ir 0.2378 0.2378 0.6082
Ir 0.7622 0.7622 0.3918
O 0.0526 0.0526 0.2980
O 0.1344 0.4359 0.7787
O 0.4359 0.1344 0.7787
O 0.5000 0.5000 0.5000
O 0.5641 0.8656 0.2213
O 0.8656 0.5641 0.2213
O 0.9474 0.9474 0.7020

---

# 2
Calculated powder diffractogram of Sr5Ir6O18 for Cu Kα, 1.54184 Å, from a cell relaxed with PBE.

Most intense lines, 5° ≤ 2θ ≤ 70°, in order of rising 2θ:
- 13.31°, I 91.6
- 18.87°, I 26.4
- 26.81°, I 37.2
- 30.05°, I 96.1
- 32.99°, I 24.7
- 35.72°, I 100.0
- 38.28°, I 32.6
- 49.41°, I 67.8
- 58.92°, I 45.1
- 62.45°, I 31.2

a = 8.1453 Å, b = 8.1453 Å, c = 8.1453 Å
α = 109.47°, β = 109.47°, γ = 109.47°
Fractional coordinates of all 29 atoms:
Sr 0.0000 0.0000 0.0000
Sr 0.0000 0.0000 0.5000
Sr 0.0000 0.5000 0.0000
Sr 0.5000 0.0000 0.0000
Sr 0.5000 0.5000 0.5000
Ir 0.1552 0.6552 0.5000
Ir 0.3448 0.5000 0.8448
Ir 0.5000 0.1552 0.6552
Ir 0.5000 0.8448 0.3448
Ir 0.6552 0.5000 0.1552
Ir 0.8448 0.3448 0.5000
O 0.0000 0.3470 0.3470
O 0.0000 0.6530 0.6530
O 0.0467 0.3357 0.7111
O 0.2889 0.6246 0.3357
O 0.2889 0.9533 0.6643
O 0.3357 0.2889 0.6246
O 0.3357 0.7111 0.0467
O 0.3470 0.0000 0.3470
O 0.3470 0.3470 0.0000
O 0.3754 0.6643 0.7111
O 0.6246 0.3357 0.2889
O 0.6530 0.0000 0.6530
O 0.6530 0.6530 0.0000
O 0.6643 0.2889 0.9533
O 0.6643 0.7111 0.3754
O 0.7111 0.0467 0.3357
O 0.7111 0.3754 0.6643
O 0.9533 0.6643 0.2889

---

# 3
Calculated powder diffractogram of Sr2IrO6 for Cu Kα, 1.54184 Å, from a cell relaxed with PBE.

Most intense lines, 5° ≤ 2θ ≤ 70°, in order of rising 2θ:
- 19.11°, I 100.0
- 31.05°, I 78.3
- 32.26°, I 42.5
- 35.65°, I 17.2
- 37.77°, I 30.3
- 42.65°, I 16.3
- 46.28°, I 22.1
- 54.47°, I 19.0
- 56.78°, I 41.0
- 64.74°, I 15.3

a = 5.5492 Å, b = 5.5492 Å, c = 8.4796 Å
α = 90.00°, β = 90.00°, γ = 90.00°
Fractional coordinates of all 18 atoms:
Sr 0.0000 0.5000 0.2500
Sr 0.0000 0.5000 0.7500
Sr 0.5000 0.0000 0.2500
Sr 0.5000 0.0000 0.7500
Ir 0.0000 0.0000 0.0000
Ir 0.5000 0.5000 0.5000
O 0.0000 0.0000 0.2269
O 0.0000 0.0000 0.7731
O 0.1670 0.2952 0.0000
O 0.2048 0.3330 0.5000
O 0.2952 0.8330 0.0000
O 0.3330 0.7952 0.5000
O 0.5000 0.5000 0.2731
O 0.5000 0.5000 0.7269
O 0.6670 0.2048 0.5000
O 0.7048 0.1670 0.0000
O 0.7952 0.6670 0.5000
O 0.8330 0.7048 0.0000

---

# 4
Calculated powder diffractogram of Sr2IrO5 for Cu Kα, 1.54184 Å, from a cell relaxed with PBE.

Most intense lines, 5° ≤ 2θ ≤ 70°, in order of rising 2θ:
- 15.90°, I 32.2
- 21.65°, I 49.7
- 28.92°, I 100.0
- 29.30°, I 82.5
- 30.42°, I 30.3
- 32.27°, I 51.0
- 33.52°, I 37.8
- 44.13°, I 32.9
- 47.93°, I 29.0
- 55.53°, I 27.3

a = 7.2894 Å, b = 5.5476 Å, c = 11.1496 Å
α = 90.00°, β = 90.00°, γ = 90.00°
Fractional coordinates of all 32 atoms:
Sr 0.0210 0.2500 0.2132
Sr 0.1638 0.7500 0.4194
Sr 0.3362 0.2500 0.9194
Sr 0.4790 0.7500 0.7132
Sr 0.5210 0.2500 0.2868
Sr 0.6638 0.7500 0.0806
Sr 0.8362 0.2500 0.5806
Sr 0.9790 0.7500 0.7868
Ir 0.1801 0.7500 0.0602
Ir 0.3199 0.2500 0.5602
Ir 0.6801 0.7500 0.4398
Ir 0.8199 0.2500 0.9398
O 0.0000 0.0000 0.0000
O 0.0000 0.5000 0.0000
O 0.0476 0.7500 0.2074
O 0.1596 0.0004 0.6107
O 0.1596 0.4996 0.6107
O 0.2174 0.2500 0.3948
O 0.2826 0.7500 0.8948
O 0.3404 0.9996 0.1107
O 0.3404 0.5004 0.1107
O 0.4524 0.2500 0.7074
O 0.5000 0.0000 0.5000
O 0.5000 0.5000 0.5000
O 0.5476 0.7500 0.2926
O 0.6596 0.0004 0.8893
O 0.6596 0.4996 0.8893
O 0.7174 0.2500 0.1052
O 0.7826 0.7500 0.6052
O 0.8404 0.9996 0.3893
O 0.8404 0.5004 0.3893
O 0.9524 0.2500 0.7926

---

# 5
Calculated powder diffractogram of SrY2IrO8 for Cu Kα, 1.54184 Å, from a cell relaxed with PBE.

Most intense lines, 5° ≤ 2θ ≤ 70°, in order of rising 2θ:
- 12.55°, I 18.0
- 21.57°, I 20.6
- 24.73°, I 56.3
- 24.89°, I 57.0
- 30.87°, I 100.0
- 35.37°, I 25.5
- 47.55°, I 39.3
- 47.73°, I 39.2
- 58.29°, I 20.1
- 60.71°, I 22.8

a = 5.0728 Å, b = 7.0558 Å, c = 5.0784 Å
α = 90.00°, β = 90.38°, γ = 90.00°
Fractional coordinates of all 12 atoms:
Sr 0.0000 0.0000 0.0000
Y 0.5000 0.2493 0.5000
Y 0.5000 0.7507 0.5000
Ir 0.0000 0.5000 0.0000
O 0.1869 0.3087 0.1856
O 0.1869 0.6913 0.1856
O 0.2677 0.5000 0.7311
O 0.3223 0.0000 0.6760
O 0.6777 0.0000 0.3240
O 0.7323 0.5000 0.2689
O 0.8131 0.3087 0.8144
O 0.8131 0.6913 0.8144